[1]
# Cs5Ti2Te6
Theoretical PXRD pattern, λ = 1.5418 Å (Cu Kα). Input: a PBE-relaxed structure.
Peak positions follow from Bragg's law for the DFT cell and can differ from measured ones.

Structural model:
Cell lengths 14.8109, 9.5262, 19.7502 Å; angles 90.00, 102.36, 90.00 degrees
Space group C2/c (No. 15)
Asymmetric unit:
Cs  0.0000  0.1253  0.2500 (multiplicity 4)
Cs  0.0580  0.2405  0.9985 (multiplicity 8)
Cs  0.1605  0.4088  0.7248 (multiplicity 8)
Ti  0.2294  0.3524  0.4320 (multiplicity 8)
Te  0.0651  0.4441  0.3744 (multiplicity 8)
Te  0.1462  0.0555  0.6344 (multiplicity 8)
Te  0.2234  0.0687  0.4342 (multiplicity 8)

Top 10 peaks for 15 to 90 degrees two-theta, by intensity:
two_theta	I (rel.)
24.22	100
22.57	74
24.96	74
22.01	66
33.59	50
23.23	42
36.42	41
26.30	40
29.80	38
28.95	32

[2]
# Sm2PtI2
Theoretical PXRD pattern, λ = 1.5418 Å (Cu Kα). Input: a PBE-relaxed structure.
Peak positions follow from Bragg's law for the DFT cell and can differ from measured ones.

Structural model:
Cell lengths 7.2663, 4.1940, 12.4933 Å; angles 90.00, 102.37, 90.00 degrees
Space group C2/m (No. 12)
Asymmetric unit:
Sm  0.2153  0.0000  0.1321 (multiplicity 4)
Pt  0.0000  0.5000  0.0000 (multiplicity 2)
I  0.0522  0.0000  0.6897 (multiplicity 4)

Top 10 peaks for 15 to 90 degrees two-theta, by intensity:
two_theta	I (rel.)
30.10	100
43.12	75
29.65	54
26.50	38
42.38	35
53.22	21
36.42	16
26.21	13
37.01	11
79.10	10